NdHoNO: computed powder diffraction line list (a wavelength of 1.5418 Å), based on a PBE-relaxed structure.
Peak positions follow from Bragg's law for the DFT cell and can differ from measured ones.

The 12 most intense peaks (10° ≤ 2θ ≤ 90°), in order of rising 2θ:
25.4 deg, intensity 36, (2 1 0)
26.4 deg, intensity 23, (0 2 0)
31.2 deg, intensity 100, (2 1 1)
32.0 deg, intensity 40, (0 2 1)
35.8 deg, intensity 33, (0 0 2)
44.2 deg, intensity 18, (4 0 0)
44.4 deg, intensity 16, (2 1 2)
46.0 deg, intensity 31, (2 3 0)
55.6 deg, intensity 18, (4 2 1)
58.2 deg, intensity 15, (4 0 2)
59.6 deg, intensity 28, (2 3 2)
61.4 deg, intensity 15, (2 1 3)

Cell and atoms:
Lattice parameters (Å, degrees): 8.189 6.748 5.019 90.00 90.00 90.00
Fractional coordinates of all 16 atoms:
Nd1 0.126 0.068 0.250
Nd2 0.126 0.432 0.750
Nd3 0.874 0.568 0.250
Nd4 0.874 0.932 0.750
Ho1 0.378 0.585 0.250
Ho2 0.378 0.915 0.750
Ho3 0.622 0.085 0.250
Ho4 0.622 0.415 0.750
N1 0.384 0.580 0.750
N2 0.384 0.920 0.250
N3 0.616 0.080 0.750
N4 0.616 0.420 0.250
O1 0.145 0.086 0.750
O2 0.145 0.414 0.250
O3 0.855 0.586 0.750
O4 0.855 0.914 0.250



NaSmPbO4: computed powder diffraction line list (a wavelength of 1.5418 Å), based on a PBE-relaxed structure.
Peak positions follow from Bragg's law for the DFT cell and can differ from measured ones.

The 12 most intense peaks (10° ≤ 2θ ≤ 90°), in order of rising 2θ:
12.4 deg, intensity 33, (0 0 2)
24.3 deg, intensity 24, (1 0 1)
26.6 deg, intensity 40, (1 0 2)
30.1 deg, intensity 100, (1 0 3)
33.4 deg, intensity 52, (1 1 0)
37.8 deg, intensity 14, (0 0 6)
46.4 deg, intensity 22, (1 1 5)
47.9 deg, intensity 25, (2 0 0)
51.3 deg, intensity 23, (1 1 6)
57.0 deg, intensity 17, (1 0 8)
57.6 deg, intensity 34, (2 1 3)
77.6 deg, intensity 14, (2 1 8)

Cell and atoms:
Lattice parameters (Å, degrees): 3.797 3.797 14.271 90.00 90.00 90.00
Fractional coordinates of all 14 atoms:
Na1 0.250 0.250 0.068
Na2 0.750 0.750 0.932
Sm1 0.250 0.250 0.404
Sm2 0.750 0.750 0.596
Pb1 0.250 0.250 0.770
Pb2 0.750 0.750 0.230
O1 0.250 0.250 0.561
O2 0.250 0.250 0.914
O3 0.250 0.750 0.294
O4 0.250 0.750 0.706
O5 0.750 0.250 0.294
O6 0.750 0.250 0.706
O7 0.750 0.750 0.086
O8 0.750 0.750 0.439



NdNiSnGe: computed powder diffraction line list (a wavelength of 1.5418 Å), based on a PBE-relaxed structure.
Peak positions follow from Bragg's law for the DFT cell and can differ from measured ones.

The 12 most intense peaks (10° ≤ 2θ ≤ 90°), in order of rising 2θ:
30.4 deg, intensity 9, (0 6 0)
32.7 deg, intensity 24, (1 5 0)
32.8 deg, intensity 100, (1 3 1)
36.8 deg, intensity 11, (0 6 1)
41.3 deg, intensity 24, (0 0 2)
41.6 deg, intensity 23, (2 0 0)
46.1 deg, intensity 14, (0 8 1)
53.6 deg, intensity 12, (1 5 2)
60.1 deg, intensity 15, (2 0 2)
63.8 deg, intensity 10, (2 8 1)
70.0 deg, intensity 11, (1 3 3)
70.4 deg, intensity 14, (3 3 1)

Cell and atoms:
Lattice parameters (Å, degrees): 4.341 17.665 4.370 90.00 90.00 90.00
Fractional coordinates of all 16 atoms:
Nd1 0.000 0.099 0.250
Nd2 0.000 0.901 0.750
Nd3 0.500 0.401 0.750
Nd4 0.500 0.599 0.250
Ni1 0.000 0.330 0.250
Ni2 0.000 0.670 0.750
Ni3 0.500 0.170 0.750
Ni4 0.500 0.830 0.250
Sn1 0.000 0.250 0.750
Sn2 0.000 0.750 0.250
Sn3 0.500 0.250 0.250
Sn4 0.500 0.750 0.750
Ge1 0.000 0.461 0.250
Ge2 0.000 0.539 0.750
Ge3 0.500 0.039 0.750
Ge4 0.500 0.961 0.250



GdDyB2P2Ir2: computed powder diffraction line list (a wavelength of 1.5418 Å), based on a PBE-relaxed structure.
Peak positions follow from Bragg's law for the DFT cell and can differ from measured ones.

The 12 most intense peaks (10° ≤ 2θ ≤ 90°), in order of rising 2θ:
10.6 deg, intensity 80, (0 0 1)
25.0 deg, intensity 42, (1 0 1)
32.2 deg, intensity 50, (0 0 3)
33.9 deg, intensity 93, (1 1 1)
38.8 deg, intensity 100, (1 1 2)
46.0 deg, intensity 45, (2 0 0)
57.3 deg, intensity 39, (2 0 3)
65.2 deg, intensity 34, (1 1 5)
67.1 deg, intensity 15, (2 2 0)
76.4 deg, intensity 17, (2 2 3)
77.3 deg, intensity 18, (3 1 1)
80.3 deg, intensity 25, (3 1 2)

Cell and atoms:
Lattice parameters (Å, degrees): 3.946 3.946 8.336 90.00 90.00 90.00
Fractional coordinates of all 8 atoms:
Gd1 0.000 0.000 0.000
Dy1 0.500 0.500 0.390
B1 0.000 0.000 0.583
B2 0.500 0.500 0.810
P1 0.000 0.000 0.344
P2 0.500 0.500 0.049
Ir1 0.000 0.500 0.695
Ir2 0.500 0.000 0.695



Er5Te3Os: computed powder diffraction line list (a wavelength of 1.5418 Å), based on a PBE-relaxed structure.
Peak positions follow from Bragg's law for the DFT cell and can differ from measured ones.

The 12 most intense peaks (10° ≤ 2θ ≤ 90°), in order of rising 2θ:
12.6 deg, intensity 12, (1 0 0)
24.8 deg, intensity 17, (1 0 1)
30.7 deg, intensity 100, (1 1 1)
33.3 deg, intensity 36, (2 0 1)
38.5 deg, intensity 69, (3 0 0)
40.3 deg, intensity 47, (2 1 1)
43.2 deg, intensity 23, (0 0 2)
50.0 deg, intensity 14, (2 2 1)
59.2 deg, intensity 39, (3 0 2)
61.7 deg, intensity 16, (3 2 1)
64.8 deg, intensity 19, (4 1 1)
77.2 deg, intensity 15, (4 1 2)

Cell and atoms:
Lattice parameters (Å, degrees): 8.102 8.102 4.188 90.00 90.00 120.00
Fractional coordinates of all 9 atoms:
Er1 0.000 0.662 0.000
Er2 0.333 0.667 0.500
Er3 0.338 0.338 0.000
Er4 0.662 0.000 0.000
Er5 0.667 0.333 0.500
Te1 0.000 0.257 0.500
Te2 0.257 0.000 0.500
Te3 0.743 0.743 0.500
Os1 0.000 0.000 0.000



Y3TmB2Pb2: computed powder diffraction line list (a wavelength of 1.5418 Å), based on a PBE-relaxed structure.
Peak positions follow from Bragg's law for the DFT cell and can differ from measured ones.

The 12 most intense peaks (10° ≤ 2θ ≤ 90°), in order of rising 2θ:
10.6 deg, intensity 13, (0 0 2)
27.9 deg, intensity 19, (1 0 0)
28.5 deg, intensity 6, (0 1 1)
32.3 deg, intensity 100, (0 0 6)
39.1 deg, intensity 5, (1 0 5)
43.2 deg, intensity 13, (1 0 6)
49.4 deg, intensity 18, (1 1 0)
57.6 deg, intensity 15, (0 1 9)
60.3 deg, intensity 32, (1 1 6)
79.3 deg, intensity 6, (2 0 9)
81.7 deg, intensity 12, (1 2 3)
88.2 deg, intensity 6, (1 1 12)

Cell and atoms:
Lattice parameters (Å, degrees): 3.687 3.687 16.634 90.00 90.00 120.00
Fractional coordinates of all 8 atoms:
Y1 0.000 0.000 0.000
Y2 0.000 0.000 0.321
Y3 0.333 0.667 0.503
Tm1 0.333 0.667 0.823
B1 0.667 0.333 0.412
B2 0.667 0.333 0.910
Pb1 0.000 0.000 0.664
Pb2 0.333 0.667 0.161



MoPCl9: computed powder diffraction line list (a wavelength of 1.5418 Å), based on a PBE-relaxed structure.
Peak positions follow from Bragg's law for the DFT cell and can differ from measured ones.

The 12 most intense peaks (10° ≤ 2θ ≤ 90°), in order of rising 2θ:
10.1 deg, intensity 45, (0 1 0)
15.1 deg, intensity 54, (1 0 -1)
15.4 deg, intensity 100, (1 -1 0)
18.1 deg, intensity 81, (1 1 -1)
19.2 deg, intensity 38, (0 0 2)
21.5 deg, intensity 51, (1 1 1)
31.1 deg, intensity 43, (2 -2 0)
32.4 deg, intensity 73, (2 1 1)
33.0 deg, intensity 82, (0 3 -2)
33.3 deg, intensity 84, (-1 1 3)
41.9 deg, intensity 48, (3 0 1)
51.8 deg, intensity 38, (1 2 4)

Cell and atoms:
Lattice parameters (Å, degrees): 6.932 8.964 9.486 100.44 95.66 95.90
Fractional coordinates of all 22 atoms:
Mo1 0.114 0.132 0.174
Mo2 0.886 0.868 0.826
P1 0.454 0.311 0.721
P2 0.546 0.689 0.279
Cl1 0.011 0.732 0.624
Cl2 0.080 0.337 0.054
Cl3 0.121 0.916 0.281
Cl4 0.218 0.984 0.950
Cl5 0.245 0.444 0.728
Cl6 0.338 0.602 0.376
Cl7 0.348 0.107 0.616
Cl8 0.441 0.218 0.261
Cl9 0.441 0.698 0.082
Cl10 0.559 0.302 0.918
Cl11 0.559 0.782 0.739
Cl12 0.652 0.893 0.384
Cl13 0.662 0.398 0.624
Cl14 0.755 0.556 0.272
Cl15 0.782 0.016 0.050
Cl16 0.879 0.084 0.719
Cl17 0.920 0.663 0.946
Cl18 0.989 0.268 0.376



DyErAg2: computed powder diffraction line list (a wavelength of 1.5418 Å), based on a PBE-relaxed structure.
Peak positions follow from Bragg's law for the DFT cell and can differ from measured ones.

The 12 most intense peaks (10° ≤ 2θ ≤ 90°), in order of rising 2θ:
31.8 deg, intensity 100, (1 1 1)
32.7 deg, intensity 26, (0 0 4)
34.6 deg, intensity 28, (0 1 3)
37.9 deg, intensity 64, (2 0 0)
39.6 deg, intensity 54, (1 1 3)
49.6 deg, intensity 16, (0 2 0)
50.8 deg, intensity 15, (2 0 4)
52.2 deg, intensity 25, (2 1 3)
64.1 deg, intensity 27, (2 2 0)
64.6 deg, intensity 13, (3 1 1)
64.7 deg, intensity 13, (0 1 7)
77.5 deg, intensity 16, (2 1 7)

Cell and atoms:
Lattice parameters (Å, degrees): 4.756 3.675 10.955 90.00 90.00 90.00
Fractional coordinates of all 8 atoms:
Dy1 0.000 0.000 0.000
Dy2 0.000 0.500 0.500
Er1 0.500 0.000 0.288
Er2 0.500 0.500 0.788
Ag1 0.000 0.000 0.725
Ag2 0.000 0.500 0.225
Ag3 0.500 0.000 0.564
Ag4 0.500 0.500 0.064